# LiNiH12S2O14
Calculated powder X-ray diffraction pattern, Cu Ka. Input: DFT lattice parameters and positions (PBE+U).

The 12 most intense peaks (5 to 70 degrees two-theta), by angle:
- 2θ 14.47, intensity 39, hkl 0 2 0
- 2θ 15.88, intensity 38, hkl 1 0 0
- 2θ 17.47, intensity 74, hkl 1 1 0
- 2θ 17.81, intensity 36, hkl 0 2 1
- 2θ 20.72, intensity 36, hkl 0 0 2
- 2θ 22.01, intensity 100, hkl 1 2 -1
- 2θ 22.36, intensity 35, hkl 1 1 1
- 2θ 22.64, intensity 42, hkl 1 0 -2
- 2θ 24.16, intensity 77, hkl 0 3 1
- 2θ 31.89, intensity 27, hkl 2 1 -1
- 2θ 32.91, intensity 29, hkl 1 2 2
- 2θ 38.43, intensity 34, hkl 1 3 -3

Cell lengths 5.7786, 12.2394, 8.8792 Å; angles 90.00, 105.06, 90.00 degrees
Positions (direct):
Li (0.1969, 0.0000, 0.2006)
Li (0.8031, 0.5000, 0.7994)
Ni (0.4740, 0.4268, 0.2437)
Ni (0.5260, 0.9268, 0.7563)
H (0.1309, 0.3446, 0.0251)
H (0.1542, 0.5785, 0.2173)
H (0.1547, 0.4973, 0.3647)
H (0.1748, 0.7892, 0.7071)
H (0.1774, 0.0129, 0.5370)
H (0.1942, 0.8650, 0.8701)
H (0.3794, 0.3025, 0.9918)
H (0.3799, 0.5336, 0.9799)
H (0.4262, 0.0419, 0.4952)
H (0.4419, 0.2375, 0.3624)
H (0.4799, 0.8205, 0.4922)
H (0.4808, 0.1149, 0.8868)
H (0.5192, 0.6149, 0.1132)
H (0.5201, 0.3205, 0.5078)
H (0.5581, 0.7375, 0.6376)
H (0.5738, 0.5419, 0.5048)
H (0.6201, 0.0336, 0.0201)
H (0.6206, 0.8025, 0.0082)
H (0.8058, 0.3650, 0.1299)
H (0.8226, 0.5129, 0.4630)
H (0.8252, 0.2892, 0.2929)
H (0.8453, 0.9973, 0.6353)
H (0.8458, 0.0785, 0.7827)
H (0.8691, 0.8446, 0.9749)
S (0.2182, 0.5775, 0.6630)
S (0.2683, 0.7886, 0.1694)
S (0.7317, 0.2886, 0.8306)
S (0.7818, 0.0775, 0.3370)
O (0.0994, 0.6978, 0.1640)
O (0.1098, 0.6861, 0.6180)
O (0.1131, 0.4978, 0.5354)
O (0.1527, 0.8724, 0.0446)
O (0.1593, 0.5386, 0.8087)
O (0.1827, 0.4999, 0.2568)
O (0.2284, 0.8624, 0.7645)
O (0.3020, 0.3246, 0.0764)
O (0.3161, 0.8515, 0.3173)
O (0.3533, 0.0284, 0.5829)
O (0.4226, 0.3129, 0.3964)
O (0.4861, 0.5831, 0.6860)
O (0.4895, 0.0363, 0.9206)
O (0.4950, 0.7490, 0.1377)
O (0.5050, 0.2490, 0.8623)
O (0.5105, 0.5363, 0.0794)
O (0.5139, 0.0831, 0.3140)
O (0.5774, 0.8129, 0.6036)
O (0.6467, 0.5284, 0.4171)
O (0.6839, 0.3515, 0.6827)
O (0.6980, 0.8246, 0.9236)
O (0.7716, 0.3624, 0.2355)
O (0.8173, 0.9999, 0.7432)
O (0.8407, 0.0386, 0.1913)
O (0.8473, 0.3724, 0.9554)
O (0.8869, 0.9978, 0.4646)
O (0.8902, 0.1861, 0.3820)
O (0.9006, 0.1978, 0.8360)